(1)
Pm5TmSn5: simulated XRD peak list (Cu Kα X-rays), based on DFT lattice parameters and positions (PBE).

Peak list (10 most intense, 2θ from 15° to 90°, sorted by position)
two_theta, I (rel.), (hkl)
29.05, 1000, 0 2 0
29.21, 754, 4 0 -2
30.59, 698, 2 0 2
31.20, 274, 1 1 2
34.17, 609, 6 0 0
35.92, 206, 5 1 -2
41.67, 583, 4 2 -2
42.69, 567, 2 2 2
45.45, 554, 6 2 0
69.08, 210, 2 4 2

Structure:
```
data_Pm5TmSn5
_symmetry_space_group_name_H-M 'C 1 2/m 1'
_symmetry_Int_Tables_number 12
_cell_length_a 16.347
_cell_length_b 6.147
_cell_length_c 7.276
_cell_angle_alpha 90.00
_cell_angle_beta 105.60
_cell_angle_gamma 90.00
loop_
_symmetry_equiv_pos_as_xyz
'x,y,z'
'-x,-y,-z'
'-x,y,-z'
'x,-y,z'
'x+1/2,y+1/2,z'
'-x+1/2,-y+1/2,-z'
'-x+1/2,y+1/2,-z'
'x+1/2,-y+1/2,z'
loop_
_atom_site_label
_atom_site_type_symbol
_atom_site_fract_x
_atom_site_fract_y
_atom_site_fract_z
_atom_site_occupancy
Pm1 Pm 0.000 0.000 0.000 1
Pm2 Pm 0.156 0.500 0.286 1
Pm3 Pm 0.178 0.500 0.794 1
Tm1 Tm 0.000 0.000 0.500 1
Sn1 Sn 0.000 0.500 0.500 1
Sn2 Sn 0.163 0.000 0.854 1
Sn3 Sn 0.165 0.000 0.393 1
```


(2)
Nd5IrSe4: simulated XRD peak list (Cu Kα X-rays), based on DFT lattice parameters and positions (PBE).

Peak list (10 most intense, 2θ from 15° to 90°, sorted by position)
two_theta, I (rel.), (hkl)
29.79, 435, 0 0 10
29.90, 933, 1 1 0
42.74, 1000, 2 0 0
53.01, 347, 2 0 10
62.11, 116, 2 2 0
70.23, 116, 1 1 20
70.39, 148, 2 2 10
70.45, 159, 3 1 0
78.16, 86, 2 0 20
78.32, 219, 3 1 10

Structure:
```
data_Nd5IrSe4
_symmetry_space_group_name_H-M 'I 4/m m m'
_symmetry_Int_Tables_number 139
_symmetry_space_group_name_Hall '-I 4 2'
_cell_length_a 4.227
_cell_length_b 4.227
_cell_length_c 29.989
_cell_angle_alpha 90.00
_cell_angle_beta 90.00
_cell_angle_gamma 90.00
loop_
_atom_site_label
_atom_site_type_symbol
_atom_site_fract_x
_atom_site_fract_y
_atom_site_fract_z
_atom_site_occupancy
Nd1 Nd 0.000 0.000 0.000 1
Nd2 Nd 0.000 0.000 0.204 1
Nd3 Nd 0.000 0.000 0.407 1
Ir1 Ir 0.000 0.000 0.500 1
Se1 Se 0.000 0.000 0.103 1
Se2 Se 0.000 0.000 0.305 1
```


(3)
Zr5Bi3: simulated XRD peak list (Cu Kα X-rays), based on DFT lattice parameters and positions (PBE).

Peak list (10 most intense, 2θ from 15° to 90°, sorted by position)
two_theta, I (rel.), (hkl)
24.06, 338, 1 2 1
26.91, 507, 3 0 1
31.30, 586, 1 2 2
33.46, 478, 3 2 1
34.42, 1000, 2 2 2
34.64, 392, 4 0 1
38.30, 268, 4 2 0
39.63, 590, 0 4 0
43.36, 308, 2 2 3
47.40, 394, 1 0 4

Structure:
```
data_Zr5Bi3
_symmetry_space_group_name_H-M 'P n m a'
_symmetry_Int_Tables_number 62
_cell_length_a 10.983
_cell_length_b 9.098
_cell_length_c 7.794
_cell_angle_alpha 90.00
_cell_angle_beta 90.00
_cell_angle_gamma 90.00
loop_
_symmetry_equiv_pos_as_xyz
'x,y,z'
'-x,-y,-z'
'-x+1/2,-y,z+1/2'
'x+1/2,y,-z+1/2'
'x+1/2,-y+1/2,-z+1/2'
'-x+1/2,y+1/2,z+1/2'
'-x,y+1/2,-z'
'x,-y+1/2,z'
loop_
_atom_site_label
_atom_site_type_symbol
_atom_site_fract_x
_atom_site_fract_y
_atom_site_fract_z
_atom_site_occupancy
Zr1 Zr 0.002 0.250 0.024 1
Zr2 Zr 0.049 0.062 0.702 1
Zr3 Zr 0.213 0.750 0.315 1
Zr4 Zr 0.232 0.250 0.317 1
Bi1 Bi 0.031 0.750 0.592 1
Bi2 Bi 0.181 0.505 0.061 1
```